Structure and simulated X-ray diffraction stick pattern of Y3RuO7 (a cell relaxed with PBE; λ = 1.5418 Å (Cu Kα)).
Neutral-atom scattering factors, no anomalous dispersion.

Largest 10 diffraction maxima, low angle first, 10 to 90 degrees two-theta:
2theta  d/Å  I (rel.)
29.17  3.061  100
29.45  3.033  96
33.91  2.643  35
34.08  2.630  16
48.36  1.882  13
48.85  1.865  60
49.08  1.856  18
57.64  1.599  22
58.09  1.588  37
58.18  1.586  11

Cell: 6.469 6.469 7.425 Å, 90.00 90.00 108.83°
Atoms (fractional coordinates):
Y (0.030, 0.030, 0.000)
Y (0.037, 0.499, 0.256)
Y (0.499, 0.037, 0.744)
Y (0.501, 0.963, 0.244)
Y (0.963, 0.501, 0.756)
Y (0.970, 0.970, 0.500)
Ru (0.500, 0.500, 0.000)
Ru (0.500, 0.500, 0.500)
O (0.130, 0.870, 0.750)
O (0.138, 0.862, 0.250)
O (0.175, 0.421, 0.975)
O (0.191, 0.442, 0.537)
O (0.421, 0.175, 0.025)
O (0.430, 0.570, 0.250)
O (0.442, 0.191, 0.463)
O (0.558, 0.809, 0.963)
O (0.570, 0.430, 0.750)
O (0.579, 0.825, 0.525)
O (0.809, 0.558, 0.037)
O (0.825, 0.579, 0.475)
O (0.862, 0.138, 0.750)
O (0.870, 0.130, 0.250)

Structure and simulated X-ray diffraction stick pattern of Zn6RuO6 (a cell relaxed with PBE; λ = 1.5418 Å (Cu Kα)).
Neutral-atom scattering factors, no anomalous dispersion.

Largest 10 diffraction maxima, low angle first, 10 to 90 degrees two-theta:
2theta  d/Å  I (rel.)
15.53  5.706  35
22.03  4.035  16
31.35  2.853  45
35.17  2.552  99
38.65  2.329  100
55.81  1.647  24
58.30  1.583  23
60.73  1.525  49
65.43  1.427  24
76.51  1.245  21

Cell: 5.706 5.706 5.706 Å, 90.00 90.00 90.00°
Atoms (fractional coordinates):
Zn (0.000, 0.249, 0.500)
Zn (0.000, 0.751, 0.500)
Zn (0.249, 0.500, 0.000)
Zn (0.500, 0.000, 0.249)
Zn (0.500, 0.000, 0.751)
Zn (0.751, 0.500, 0.000)
Ru (0.000, 0.000, 0.000)
O (0.000, 0.500, 0.252)
O (0.000, 0.500, 0.748)
O (0.252, 0.000, 0.500)
O (0.500, 0.252, 0.000)
O (0.500, 0.748, 0.000)
O (0.748, 0.000, 0.500)

Structure and simulated X-ray diffraction stick pattern of Zr2RuO (a cell relaxed with PBE; λ = 1.5418 Å (Cu Kα)).
Neutral-atom scattering factors, no anomalous dispersion.

Largest 10 diffraction maxima, low angle first, 10 to 90 degrees two-theta:
2theta  d/Å  I (rel.)
31.55  2.836  100
34.61  2.591  51
39.07  2.305  12
41.32  2.185  33
45.69  1.986  18
52.90  1.731  28
57.78  1.596  29
59.86  1.545  7
66.24  1.411  14
78.43  1.219  10

Cell: 5.743 5.743 5.743 Å, 114.90 114.90 99.09°
Atoms (fractional coordinates):
Zr (0.060, 0.625, 0.935)
Zr (0.375, 0.310, 0.435)
Zr (0.690, 0.125, 0.065)
Zr (0.875, 0.940, 0.565)
Ru (0.250, 0.750, 0.500)
Ru (0.500, 0.500, 0.000)
O (0.000, 0.000, 0.000)
O (0.750, 0.250, 0.500)